1.
Ce2Al2Si4Os: theoretical powder XRD pattern (a wavelength of 1.5418 Å), based on a PBE-relaxed structure.
Intensities are scaled so that the largest is 100.

Cell and atoms:
Cell lengths 6.0915, 6.0915, 6.0915 Å; angles 119.83, 119.83, 90.29 degrees
Fractional positions:
Ce 0.2500 0.7500 0.5000
Ce 0.7500 0.2500 0.5000
Al 0.2097 0.2097 0.0000
Al 0.7903 0.7903 0.0000
Si 0.2177 0.2177 0.4355
Si 0.2177 0.7823 0.0000
Si 0.7823 0.2177 0.0000
Si 0.7823 0.7823 0.5645
Os 0.5000 0.5000 0.0000

The 10 most intense peaks (10 to 90 degrees two-theta), in order of rising 2θ:
- 4.978 Å, 17.82 deg, I = 27
- 3.048 Å, 29.30 deg, I = 100
- 2.603 Å, 34.46 deg, I = 19
- 2.489 Å, 36.09 deg, I = 13
- 2.159 Å, 41.84 deg, I = 27
- 2.148 Å, 42.06 deg, I = 13
- 1.977 Å, 45.91 deg, I = 13
- 1.761 Å, 51.91 deg, I = 26
- 1.523 Å, 60.83 deg, I = 17
- 1.365 Å, 68.76 deg, I = 14

***

2.
Pr6Nd3Tm2: theoretical powder XRD pattern (a wavelength of 1.5418 Å), based on a PBE-relaxed structure.
Intensities are scaled so that the largest is 100.

Cell and atoms:
Cell lengths 32.9486, 32.9486, 32.9486 Å; angles 6.38, 6.38, 6.38 degrees
Fractional positions:
Pr 0.0923 0.0923 0.0923
Pr 0.1823 0.1823 0.1823
Pr 0.3641 0.3641 0.3641
Pr 0.6359 0.6359 0.6359
Pr 0.8177 0.8177 0.8177
Pr 0.9077 0.9077 0.9077
Nd 0.0000 0.0000 0.0000
Nd 0.2719 0.2719 0.2719
Nd 0.7281 0.7281 0.7281
Tm 0.4549 0.4549 0.4549
Tm 0.5451 0.5451 0.5451

The 9 most intense peaks (10 to 90 degrees two-theta), in order of rising 2θ:
- 2.992 Å, 29.87 deg, I = 100
- 2.591 Å, 34.62 deg, I = 51
- 1.832 Å, 49.77 deg, I = 36
- 1.562 Å, 59.13 deg, I = 42
- 1.496 Å, 62.05 deg, I = 12
- 1.295 Å, 73.04 deg, I = 6
- 1.189 Å, 80.84 deg, I = 13
- 1.188 Å, 80.92 deg, I = 4
- 1.159 Å, 83.42 deg, I = 16

***

3.
SnTe4Au3: theoretical powder XRD pattern (a wavelength of 1.5418 Å), based on a PBE-relaxed structure.
Intensities are scaled so that the largest is 100.

Cell and atoms:
Cell lengths 6.0537, 6.0537, 6.0537 Å; angles 90.00, 90.00, 90.00 degrees
Fractional positions:
Sn 0.0000 0.0000 0.0000
Te 0.2989 0.2989 0.2989
Te 0.2989 0.7011 0.7011
Te 0.7011 0.2989 0.7011
Te 0.7011 0.7011 0.2989
Au 0.0000 0.0000 0.5000
Au 0.0000 0.5000 0.0000
Au 0.5000 0.0000 0.0000

The 10 most intense peaks (10 to 90 degrees two-theta), in order of rising 2θ:
- 6.054 Å, 14.63 deg, I = 17
- 3.495 Å, 25.49 deg, I = 97
- 2.707 Å, 33.09 deg, I = 69
- 2.471 Å, 36.35 deg, I = 22
- 2.140 Å, 42.22 deg, I = 100
- 2.018 Å, 44.92 deg, I = 31
- 1.825 Å, 49.97 deg, I = 30
- 1.468 Å, 63.34 deg, I = 23
- 1.236 Å, 77.20 deg, I = 23
- 1.124 Å, 86.59 deg, I = 16

***

Question: What is the formula in the first record?
Answer: Ce2Al2Si4Os

***

Question: What is the formula in the third record?
Answer: SnTe4Au3